No. 1
Theoretical X-ray diffraction stick pattern of NdY8Er3 for Cu Ka, from a crystal structure in Alexandria, relaxed with PBE.

Peak list (12 most intense, 10° ≤ 2θ ≤ 90°, most intense first)
d/Å, 2θ (°), I (rel.)
2.787, 32.1, 100
2.956, 30.2, 30
2.925, 30.6, 29
2.079, 43.5, 21
1.672, 54.9, 21
1.661, 55.3, 21
1.393, 67.2, 11
1.300, 72.7, 9
1.580, 58.4, 9
1.585, 58.2, 9
5.016, 17.7, 8
1.877, 48.5, 8

Atomic structure:
Cell: 6.859 6.859 9.829 Å, 97.73 97.73 119.10°
Sites, in units of the cell vectors:
Nd  0.000  0.000  0.000
Y  0.174  0.174  0.672
Y  0.178  0.662  0.168
Y  0.328  0.328  0.342
Y  0.338  0.822  0.832
Y  0.662  0.178  0.168
Y  0.672  0.672  0.658
Y  0.822  0.338  0.832
Y  0.826  0.826  0.328
Er  0.000  0.500  0.500
Er  0.500  0.000  0.500
Er  0.500  0.500  0.000



No. 2
Theoretical X-ray diffraction stick pattern of Nd2YEr6 for Cu Ka, from a crystal structure in Alexandria, relaxed with PBE.

Peak list (12 most intense, 10° ≤ 2θ ≤ 90°, most intense first)
d/Å, 2θ (°), I (rel.)
2.840, 31.5, 100
2.890, 30.9, 58
3.110, 28.7, 55
2.778, 32.2, 40
2.652, 33.8, 35
2.580, 34.8, 32
2.699, 33.2, 29
3.053, 29.2, 23
1.536, 60.3, 18
1.550, 59.7, 15
1.456, 63.9, 14
2.851, 31.4, 10

Atomic structure:
Cell: 9.567 9.567 6.558 Å, 99.47 99.47 96.29°
Sites, in units of the cell vectors:
Nd  0.119  0.169  0.374
Nd  0.169  0.119  0.874
Nd  0.831  0.881  0.126
Nd  0.881  0.831  0.626
Y  0.383  0.617  0.750
Y  0.617  0.383  0.250
Er  0.038  0.440  0.729
Er  0.151  0.775  0.996
Er  0.225  0.849  0.504
Er  0.276  0.460  0.185
Er  0.440  0.038  0.229
Er  0.460  0.276  0.685
Er  0.540  0.724  0.315
Er  0.560  0.962  0.771
Er  0.724  0.540  0.815
Er  0.775  0.151  0.496
Er  0.849  0.225  0.004
Er  0.962  0.560  0.271



No. 3
Theoretical X-ray diffraction stick pattern of Nd2Y5Er4 for Cu Ka, from a crystal structure in Alexandria, relaxed with PBE.

Peak list (12 most intense, 10° ≤ 2θ ≤ 90°, most intense first)
d/Å, 2θ (°), I (rel.)
2.905, 30.8, 100
2.888, 31.0, 92
2.777, 32.2, 85
2.942, 30.4, 72
2.426, 37.1, 49
8.691, 10.2, 39
3.026, 29.5, 36
3.432, 26.0, 33
1.471, 63.2, 31
2.800, 32.0, 27
1.489, 62.4, 26
2.288, 39.4, 26

Atomic structure:
Cell: 12.057 12.057 8.744 Å, 96.21 96.21 16.54°
Sites, in units of the cell vectors:
Nd  0.092  0.092  0.241
Nd  0.908  0.908  0.759
Y  0.140  0.140  0.623
Y  0.233  0.233  0.323
Y  0.500  0.500  0.500
Y  0.767  0.767  0.677
Y  0.860  0.860  0.377
Er  0.045  0.045  0.862
Er  0.323  0.323  0.027
Er  0.677  0.677  0.973
Er  0.955  0.955  0.138



No. 4
Theoretical X-ray diffraction stick pattern of Nd6YEr3 for Cu Ka, from a crystal structure in Alexandria, relaxed with PBE.

Peak list (12 most intense, 10° ≤ 2θ ≤ 90°, most intense first)
d/Å, 2θ (°), I (rel.)
2.893, 30.9, 100
2.703, 33.1, 68
3.157, 28.3, 62
2.924, 30.6, 61
2.814, 31.8, 53
2.762, 32.4, 44
3.125, 28.6, 40
1.654, 55.6, 40
3.086, 28.9, 28
2.637, 34.0, 28
1.742, 52.5, 21
2.603, 34.5, 19

Atomic structure:
Cell: 11.793 11.793 6.445 Å, 90.00 90.00 130.77°
Sites, in units of the cell vectors:
Nd  0.015  0.985  0.500
Nd  0.106  0.545  0.013
Nd  0.260  0.380  0.262
Nd  0.301  0.699  0.490
Nd  0.380  0.260  0.762
Nd  0.455  0.894  0.013
Nd  0.545  0.106  0.513
Nd  0.620  0.740  0.262
Nd  0.699  0.301  0.990
Nd  0.740  0.620  0.762
Nd  0.894  0.455  0.513
Nd  0.985  0.015  0.000
Y  0.157  0.843  0.705
Y  0.843  0.157  0.205
Er  0.043  0.293  0.683
Er  0.293  0.043  0.183
Er  0.420  0.580  0.782
Er  0.580  0.420  0.282
Er  0.707  0.957  0.683
Er  0.957  0.707  0.183



No. 5
Theoretical X-ray diffraction stick pattern of Nd2Y3Er2 for Cu Ka, from a crystal structure in Alexandria, relaxed with PBE.

Peak list (12 most intense, 10° ≤ 2θ ≤ 90°, most intense first)
d/Å, 2θ (°), I (rel.)
3.096, 28.8, 100
2.616, 34.3, 97
1.920, 47.3, 42
2.826, 31.7, 39
1.588, 58.1, 39
1.511, 61.4, 23
3.461, 25.7, 18
3.997, 22.2, 18
2.308, 39.0, 17
1.998, 45.4, 16
1.332, 70.7, 14
1.385, 67.7, 14

Atomic structure:
Cell: 8.478 8.478 8.478 Å, 109.47 109.47 109.47°
Sites, in units of the cell vectors:
Nd  0.000  0.690  0.500
Nd  0.500  0.000  0.690
Nd  0.690  0.500  0.000
Nd  0.810  0.810  0.810
Y  0.192  0.942  0.250
Y  0.250  0.192  0.942
Y  0.308  0.558  0.750
Y  0.558  0.750  0.308
Y  0.750  0.308  0.558
Y  0.942  0.250  0.192
Er  0.000  0.088  0.500
Er  0.088  0.500  0.000
Er  0.412  0.412  0.412
Er  0.500  0.000  0.088



No. 6
Theoretical X-ray diffraction stick pattern of Nd2Y3Er2 for Cu Ka, from a crystal structure in Alexandria, relaxed with PBE.

Peak list (12 most intense, 10° ≤ 2θ ≤ 90°, most intense first)
d/Å, 2θ (°), I (rel.)
2.898, 30.9, 100
2.995, 29.8, 70
2.861, 31.3, 68
2.679, 33.4, 61
2.818, 31.7, 58
2.405, 37.4, 25
1.675, 54.8, 21
1.502, 61.8, 21
7.512, 11.8, 20
2.482, 36.2, 20
1.497, 62.0, 20
3.252, 27.4, 19

Atomic structure:
Cell: 8.970 8.970 8.597 Å, 118.46 118.46 22.59°
Sites, in units of the cell vectors:
Nd  0.067  0.067  0.219
Nd  0.933  0.933  0.781
Y  0.288  0.288  0.374
Y  0.500  0.500  0.500
Y  0.712  0.712  0.626
Er  0.350  0.350  0.034
Er  0.650  0.650  0.966



No. 7
Theoretical X-ray diffraction stick pattern of Nd2YEr5 for Cu Ka, from a crystal structure in Alexandria, relaxed with PBE.

Peak list (12 most intense, 10° ≤ 2θ ≤ 90°, most intense first)
d/Å, 2θ (°), I (rel.)
2.845, 31.4, 100
3.036, 29.4, 25
2.938, 30.4, 21
1.642, 56.0, 16
2.044, 44.3, 9
2.110, 42.9, 8
1.422, 65.6, 8
1.512, 61.3, 7
1.984, 45.7, 6
2.340, 38.5, 6
1.830, 49.8, 6
2.920, 30.6, 5

Atomic structure:
Cell: 9.462 9.462 6.544 Å, 97.65 97.65 62.75°
Sites, in units of the cell vectors:
Nd  0.167  0.676  0.884
Nd  0.324  0.833  0.616
Nd  0.676  0.167  0.384
Nd  0.833  0.324  0.116
Y  0.000  0.500  0.000
Y  0.500  0.000  0.500
Er  0.012  0.189  0.647
Er  0.189  0.012  0.147
Er  0.215  0.391  0.476
Er  0.391  0.215  0.976
Er  0.442  0.558  0.250
Er  0.558  0.442  0.750
Er  0.609  0.785  0.024
Er  0.785  0.609  0.524
Er  0.811  0.988  0.853
Er  0.988  0.811  0.353



No. 8
Theoretical X-ray diffraction stick pattern of Nd2Y8Er3 for Cu Ka, from a crystal structure in Alexandria, relaxed with PBE.

Peak list (12 most intense, 10° ≤ 2θ ≤ 90°, most intense first)
d/Å, 2θ (°), I (rel.)
2.828, 31.6, 100
2.991, 29.9, 71
2.846, 31.4, 70
2.599, 34.5, 63
2.871, 31.1, 44
7.771, 11.4, 37
2.467, 36.4, 32
1.499, 61.9, 31
2.702, 33.2, 30
1.762, 51.9, 21
2.911, 30.7, 18
1.701, 53.9, 17

Atomic structure:
Cell: 11.744 20.728 3.525 Å, 90.00 90.00 90.00°
Sites, in units of the cell vectors:
Nd  0.179  0.099  0.000
Nd  0.321  0.599  0.000
Nd  0.679  0.401  0.000
Nd  0.821  0.901  0.000
Y  0.046  0.572  0.000
Y  0.055  0.841  0.500
Y  0.129  0.286  0.000
Y  0.208  0.447  0.500
Y  0.292  0.947  0.500
Y  0.371  0.786  0.000
Y  0.445  0.341  0.500
Y  0.454  0.072  0.000
Y  0.546  0.928  0.000
Y  0.555  0.659  0.500
Y  0.629  0.214  0.000
Y  0.708  0.053  0.500
Y  0.792  0.553  0.500
Y  0.871  0.714  0.000
Y  0.945  0.159  0.500
Y  0.954  0.428  0.000
Er  0.000  0.000  0.500
Er  0.145  0.701  0.500
Er  0.355  0.201  0.500
Er  0.500  0.500  0.500
Er  0.645  0.799  0.500
Er  0.855  0.299  0.500